[1]
Diffraction record for SnH7Cl3O4. The X-ray diffraction stick pattern is simulated, not measured: it uses a cell relaxed with PBE and Cu Kα (weighted mean of Kα1 and Kα2).
Kinematic intensities with the Lorentz-polarization factor, no thermal factor.

Atomic structure:
Unit cell a=10.0918 b=6.4488 c=15.6200 alpha=90.00 beta=125.81 gamma=90.00
Positions (direct):
1 Sn 0.1709 0.0375 0.0044
2 Sn 0.1709 0.4625 0.5044
3 Sn 0.8291 0.5375 0.4956
4 Sn 0.8291 0.9625 0.9956
5 H 0.0977 0.7044 0.0866
6 H 0.0977 0.7956 0.5866
7 H 0.1184 0.0023 0.7099
8 H 0.1184 0.4977 0.2099
9 H 0.2518 0.2046 0.6745
10 H 0.2518 0.2954 0.1745
11 H 0.2745 0.6235 0.2445
12 H 0.2745 0.8765 0.7445
13 H 0.2998 0.5918 0.8426
14 H 0.2998 0.9082 0.3426
15 H 0.3169 0.0594 0.2215
16 H 0.3169 0.4406 0.7215
17 H 0.4756 0.6336 0.8740
18 H 0.4756 0.8664 0.3740
19 H 0.5244 0.1336 0.6260
20 H 0.5244 0.3664 0.1260
21 H 0.6831 0.5594 0.2785
22 H 0.6831 0.9406 0.7785
23 H 0.7002 0.0918 0.6574
24 H 0.7002 0.4082 0.1574
25 H 0.7255 0.1235 0.2555
26 H 0.7255 0.3765 0.7555
27 H 0.7482 0.7046 0.8255
28 H 0.7482 0.7954 0.3255
29 H 0.8816 0.5023 0.7901
30 H 0.8816 0.9977 0.2901
31 H 0.9023 0.2044 0.4134
32 H 0.9023 0.2956 0.9134
33 Cl 0.0382 0.5895 0.3249
34 Cl 0.0382 0.9105 0.8249
35 Cl 0.2646 0.1428 0.4739
36 Cl 0.2646 0.3572 0.9739
37 Cl 0.4150 0.6584 0.5792
38 Cl 0.4150 0.8416 0.0792
39 Cl 0.5850 0.1584 0.9208
40 Cl 0.5850 0.3416 0.4208
41 Cl 0.7354 0.6428 0.0261
42 Cl 0.7354 0.8572 0.5261
43 Cl 0.9618 0.0895 0.1751
44 Cl 0.9618 0.4105 0.6751
45 O 0.0437 0.6844 0.5312
46 O 0.0437 0.8156 0.0312
47 O 0.1911 0.5277 0.1888
48 O 0.1911 0.9723 0.6888
49 O 0.2909 0.1597 0.1644
50 O 0.2909 0.3403 0.6644
51 O 0.3596 0.6271 0.8129
52 O 0.3596 0.8729 0.3129
53 O 0.6404 0.1271 0.6871
54 O 0.6404 0.3729 0.1871
55 O 0.7091 0.6597 0.3356
56 O 0.7091 0.8403 0.8356
57 O 0.8089 0.0277 0.3112
58 O 0.8089 0.4723 0.8112
59 O 0.9563 0.1844 0.9688
60 O 0.9563 0.3156 0.4688

Top 10 peaks for 2θ from 10° to 90°, in order of rising 2θ:
| 2theta | Rel. int. |
| --- | --- |
| 10.81 | 30 |
| 11.63 | 22 |
| 13.98 | 68 |
| 15.42 | 100 |
| 16.33 | 28 |
| 17.63 | 18 |
| 23.41 | 21 |
| 25.21 | 18 |
| 30.03 | 29 |
| 34.07 | 21 |

[2]
Diffraction record for SrSn2H10Cl6O5. The X-ray diffraction stick pattern is simulated, not measured: it uses a cell relaxed with PBE and Cu Kα (weighted mean of Kα1 and Kα2).
Kinematic intensities with the Lorentz-polarization factor, no thermal factor.

Atomic structure:
Unit cell a=9.7724 b=9.7724 c=9.2337 alpha=111.03 beta=111.03 gamma=77.34
Positions (direct):
1 Sr 0.0124 0.9876 0.7500
2 Sr 0.9876 0.0124 0.2500
3 Sn 0.2533 0.4809 0.0217
4 Sn 0.4809 0.2533 0.5217
5 Sn 0.5191 0.7467 0.4783
6 Sn 0.7467 0.5191 0.9783
7 H 0.0540 0.2413 0.6273
8 H 0.0662 0.3045 0.2367
9 H 0.1121 0.3330 0.4258
10 H 0.1140 0.7712 0.4456
11 H 0.2131 0.6741 0.7277
12 H 0.2288 0.8860 0.0544
13 H 0.2413 0.0540 0.1273
14 H 0.3045 0.0662 0.7367
15 H 0.3259 0.7869 0.7723
16 H 0.3330 0.1121 0.9258
17 H 0.6670 0.8879 0.0742
18 H 0.6741 0.2131 0.2277
19 H 0.6955 0.9338 0.2633
20 H 0.7587 0.9460 0.8727
21 H 0.7712 0.1140 0.9456
22 H 0.7869 0.3259 0.2723
23 H 0.8860 0.2288 0.5544
24 H 0.8879 0.6670 0.5742
25 H 0.9338 0.6955 0.7633
26 H 0.9460 0.7587 0.3727
27 Cl 0.0230 0.6840 0.0237
28 Cl 0.1762 0.4460 0.7002
29 Cl 0.3057 0.5840 0.3962
30 Cl 0.3160 0.9770 0.4763
31 Cl 0.4160 0.6943 0.1038
32 Cl 0.4460 0.1762 0.2002
33 Cl 0.5540 0.8238 0.7998
34 Cl 0.5840 0.3057 0.8962
35 Cl 0.6840 0.0230 0.5237
36 Cl 0.6943 0.4160 0.6038
37 Cl 0.8238 0.5540 0.2998
38 Cl 0.9770 0.3160 0.9763
39 O 0.0180 0.8322 0.4317
40 O 0.1034 0.2547 0.3212
41 O 0.1678 0.9820 0.0683
42 O 0.2212 0.7788 0.7500
43 O 0.2547 0.1034 0.8212
44 O 0.7453 0.8966 0.1788
45 O 0.7788 0.2212 0.2500
46 O 0.8322 0.0180 0.9317
47 O 0.8966 0.7453 0.6788
48 O 0.9820 0.1678 0.5683

Top 10 peaks for 2θ from 10° to 90°, in order of rising 2θ:
| 2theta | Rel. int. |
| --- | --- |
| 12.12 | 77 |
| 19.23 | 100 |
| 20.97 | 54 |
| 22.81 | 47 |
| 29.25 | 43 |
| 30.49 | 74 |
| 31.13 | 80 |
| 36.70 | 37 |
| 39.74 | 60 |
| 41.66 | 40 |

[3]
Diffraction record for SrH12Cl2O6. The X-ray diffraction stick pattern is simulated, not measured: it uses a cell relaxed with PBE and Cu Kα (weighted mean of Kα1 and Kα2).
Kinematic intensities with the Lorentz-polarization factor, no thermal factor.

Atomic structure:
Unit cell a=8.0063 b=8.0063 c=4.1921 alpha=90.00 beta=90.00 gamma=120.00
Positions (direct):
1 Sr 0.0000 0.0000 0.0000
2 H 0.0976 0.6542 0.9017
3 H 0.1125 0.3551 0.4905
4 H 0.2426 0.8875 0.4905
5 H 0.3458 0.4434 0.9017
6 H 0.3551 0.1125 0.5095
7 H 0.4434 0.3458 0.0983
8 H 0.5566 0.9024 0.9017
9 H 0.6449 0.7574 0.4905
10 H 0.6542 0.0976 0.0983
11 H 0.7574 0.6449 0.5095
12 H 0.8875 0.2426 0.5095
13 H 0.9024 0.5566 0.0983
14 Cl 0.3333 0.6667 0.6071
15 Cl 0.6667 0.3333 0.3929
16 O 0.0000 0.2234 0.5000
17 O 0.0000 0.6784 0.0000
18 O 0.2234 0.0000 0.5000
19 O 0.3216 0.3216 0.0000
20 O 0.6784 0.0000 0.0000
21 O 0.7766 0.7766 0.5000

Top 10 peaks for 2θ from 10° to 90°, in order of rising 2θ:
| 2theta | Rel. int. |
| --- | --- |
| 12.77 | 100 |
| 22.21 | 74 |
| 24.82 | 82 |
| 30.89 | 31 |
| 33.54 | 67 |
| 38.97 | 50 |
| 40.60 | 86 |
| 45.19 | 21 |
| 52.34 | 27 |
| 62.44 | 18 |